Entry 1:
Computed powder diffraction line list of PrBe2Ni5 for λ = 1.5418 Å (Cu Kα), from a PBE-relaxed structure.
Neutral-atom scattering factors, no anomalous dispersion.

Structural model:
a = 3.5991 Å, b = 6.2595 Å, c = 8.9646 Å
α = 90.00°, β = 90.00°, γ = 90.00°
Space group Immm (No. 71)
Asymmetric unit:
Pr (0.0000, 0.0000, 0.0000) x2
Be (0.0000, 0.5000, 0.2304) x4
Ni (0.0000, 0.1902, 0.3472) x8
Ni (0.0000, 0.5000, 0.0000) x2

The 10 most intense peaks (2θ from 10° to 90°), low angle first:
2θ 28.61, I = 29, hkl 1 1 0
2θ 33.22, I = 23, hkl 0 1 3
2θ 34.97, I = 49, hkl 0 2 2
2θ 39.18, I = 100, hkl 1 0 3
2θ 39.46, I = 96, hkl 1 2 1
2θ 44.59, I = 15, hkl 0 3 1
2θ 50.06, I = 31, hkl 0 2 4
2θ 50.73, I = 26, hkl 2 0 0
2θ 63.10, I = 15, hkl 2 2 2
2θ 74.04, I = 18, hkl 2 2 4



Entry 2:
Computed powder diffraction line list of BeNiPt2 for λ = 1.5418 Å (Cu Kα), from a PBE-relaxed structure.
Neutral-atom scattering factors, no anomalous dispersion.

Structural model:
a = 5.5227 Å, b = 6.5846 Å, c = 2.7841 Å
α = 90.00°, β = 90.00°, γ = 90.00°
Space group Cmmm (No. 65)
Asymmetric unit:
Be (0.0000, 0.0000, 0.0000) x2
Ni (0.0000, 0.5000, 0.0000) x2
Pt (0.2500, 0.2500, 0.5000) x4

The 10 most intense peaks (2θ from 10° to 90°), low angle first:
2θ 27.08, I = 77, hkl 0 2 0
2θ 32.15, I = 50, hkl 0 0 1
2θ 32.42, I = 49, hkl 2 0 0
2θ 42.52, I = 100, hkl 0 2 1
2θ 42.74, I = 99, hkl 2 2 0
2θ 46.31, I = 78, hkl 2 0 1
2θ 54.47, I = 47, hkl 2 2 1
2θ 75.40, I = 37, hkl 2 4 1
2θ 83.04, I = 30, hkl 2 2 2
2θ 83.49, I = 29, hkl 4 2 1



Entry 3:
Computed powder diffraction line list of BeNi3Pt12 for λ = 1.5418 Å (Cu Kα), from a PBE-relaxed structure.
Neutral-atom scattering factors, no anomalous dispersion.

Structural model:
a = 3.8637 Å, b = 3.8637 Å, c = 15.5671 Å
α = 90.00°, β = 90.00°, γ = 90.00°
Space group P4/mmm (No. 123)
Asymmetric unit:
Be (0.0000, 0.0000, 0.0000) x1
Ni (0.0000, 0.0000, 0.2496) x2
Ni (0.0000, 0.0000, 0.5000) x1
Pt (0.0000, 0.5000, 0.1219) x4
Pt (0.0000, 0.5000, 0.3744) x4
Pt (0.5000, 0.5000, 0.0000) x1
Pt (0.5000, 0.5000, 0.2478) x2
Pt (0.5000, 0.5000, 0.5000) x1

The 10 most intense peaks (2θ from 10° to 90°), low angle first:
2θ 23.02, I = 11, hkl 1 0 0
2θ 32.66, I = 9, hkl 1 0 4
2θ 40.34, I = 100, hkl 1 1 4
2θ 46.68, I = 16, hkl 0 0 8
2θ 47.04, I = 32, hkl 2 0 0
2θ 68.43, I = 21, hkl 2 0 8
2θ 68.71, I = 11, hkl 2 2 0
2θ 82.27, I = 13, hkl 1 1 12
2θ 82.80, I = 26, hkl 3 1 4
2θ 87.19, I = 11, hkl 2 2 8



Entry 4:
Computed powder diffraction line list of BeNi2Pt4 for λ = 1.5418 Å (Cu Kα), from a PBE-relaxed structure.
Neutral-atom scattering factors, no anomalous dispersion.

Structural model:
a = 4.1501 Å, b = 4.1501 Å, c = 12.4078 Å
α = 90.00°, β = 90.00°, γ = 90.00°
Space group I4/mmm (No. 139)
Asymmetric unit:
Be (0.0000, 0.0000, 0.0000) x2
Ni (0.0000, 0.0000, 0.3726) x4
Pt (0.0000, 0.0000, 0.1768) x4
Pt (0.0000, 0.5000, 0.0000) x4

The 10 most intense peaks (2θ from 10° to 90°), low angle first:
2θ 30.51, I = 29, hkl 1 0 3
2θ 33.79, I = 100, hkl 1 1 2
2θ 42.41, I = 73, hkl 1 1 4
2θ 43.62, I = 54, hkl 2 0 0
2θ 43.78, I = 19, hkl 0 0 6
2θ 63.39, I = 18, hkl 2 2 0
2θ 63.51, I = 25, hkl 2 0 6
2θ 73.80, I = 22, hkl 3 1 2
2θ 79.27, I = 20, hkl 3 1 4
2θ 80.21, I = 13, hkl 2 2 6



Entry 5:
Computed powder diffraction line list of Be3NiRh2 for λ = 1.5418 Å (Cu Kα), from a PBE-relaxed structure.
Neutral-atom scattering factors, no anomalous dispersion.

Structural model:
a = 3.8263 Å, b = 11.5244 Å, c = 2.7916 Å
α = 90.00°, β = 90.00°, γ = 90.00°
Space group Cmmm (No. 65)
Asymmetric unit:
Be (0.0000, 0.0000, 0.0000) x2
Be (0.0000, 0.3341, 0.0000) x4
Ni (0.0000, 0.5000, 0.5000) x2
Rh (0.0000, 0.1610, 0.5000) x4

The 10 most intense peaks (2θ from 10° to 90°), low angle first:
2θ 32.06, I = 55, hkl 0 0 1
2θ 33.04, I = 100, hkl 1 3 0
2θ 46.71, I = 97, hkl 1 3 1
2θ 47.33, I = 23, hkl 0 6 0
2θ 47.53, I = 23, hkl 2 0 0
2θ 58.31, I = 18, hkl 0 6 1
2θ 58.48, I = 19, hkl 2 0 1
2θ 76.81, I = 16, hkl 1 3 2
2θ 78.43, I = 15, hkl 2 6 1
2θ 87.92, I = 15, hkl 3 3 1



Entry 6:
Computed powder diffraction line list of BeNiSb2 for λ = 1.5418 Å (Cu Kα), from a PBE-relaxed structure.
Neutral-atom scattering factors, no anomalous dispersion.

Structural model:
a = 6.6502 Å, b = 3.8393 Å, c = 6.5938 Å
α = 90.00°, β = 110.00°, γ = 90.00°
Space group Cm (No. 8)
Asymmetric unit:
Be (0.0000, 0.0000, 0.0000) x2
Ni (0.1681, 0.5000, 0.0038) x2
Sb (0.2493, 0.0000, 0.7517) x2
Sb (0.4190, 0.0000, 0.2520) x2

The 10 most intense peaks (2θ from 10° to 90°), low angle first:
2θ 14.29, I = 26, hkl 0 0 1
2θ 27.25, I = 100, hkl 2 0 -1
2θ 28.51, I = 27, hkl 1 1 -1
2θ 28.82, I = 26, hkl 0 0 2
2θ 33.18, I = 35, hkl 1 1 1
2θ 36.19, I = 60, hkl 1 1 -2
2θ 36.36, I = 30, hkl 2 0 1
2θ 43.48, I = 18, hkl 2 0 -3
2θ 43.69, I = 35, hkl 1 1 2
2θ 47.35, I = 65, hkl 0 2 0



Entry 7:
Computed powder diffraction line list of ScBe10Ni2 for λ = 1.5418 Å (Cu Kα), from a PBE-relaxed structure.
Neutral-atom scattering factors, no anomalous dispersion.

Structural model:
a = 4.4836 Å, b = 10.5467 Å, c = 10.7199 Å
α = 90.00°, β = 90.00°, γ = 90.00°
Space group Fmmm (No. 69)
Asymmetric unit:
Sc (0.0000, 0.0000, 0.0000) x4
Be (0.0000, 0.1118, 0.3903) x16
Be (0.0000, 0.1749, 0.1765) x16
Be (0.2500, 0.2500, 0.0000) x8
Ni (0.2500, 0.0000, 0.2500) x8

The 10 most intense peaks (2θ from 10° to 90°), low angle first:
2θ 16.54, I = 31, hkl 0 0 2
2θ 16.81, I = 100, hkl 0 2 0
2θ 23.67, I = 31, hkl 0 2 2
2θ 33.44, I = 27, hkl 0 0 4
2θ 34.00, I = 19, hkl 0 4 0
2θ 37.65, I = 31, hkl 0 2 4
2θ 43.77, I = 18, hkl 2 0 2
2θ 47.21, I = 45, hkl 2 2 2
2θ 48.43, I = 29, hkl 0 4 4
2θ 56.56, I = 18, hkl 2 4 2



Entry 8:
Computed powder diffraction line list of Sc3Be2Ni5 for λ = 1.5418 Å (Cu Kα), from a PBE-relaxed structure.
Neutral-atom scattering factors, no anomalous dispersion.

Structural model:
a = 8.8296 Å, b = 8.8296 Å, c = 3.3734 Å
α = 90.00°, β = 90.00°, γ = 90.00°
Space group P4/mbm (No. 127)
Asymmetric unit:
Sc (0.0000, 0.0000, 0.0000) x2
Sc (0.1783, 0.3217, 0.0000) x4
Be (0.1140, 0.6140, 0.0000) x4
Ni (0.0000, 0.5000, 0.5000) x2
Ni (0.0695, 0.7757, 0.5000) x8

The 10 most intense peaks (2θ from 10° to 90°), low angle first:
2θ 26.42, I = 35, hkl 0 0 1
2θ 34.98, I = 78, hkl 2 1 1
2θ 39.32, I = 45, hkl 2 2 1
2θ 42.00, I = 100, hkl 3 1 1
2θ 42.20, I = 70, hkl 4 1 0
2θ 45.79, I = 45, hkl 3 2 1
2θ 45.97, I = 41, hkl 4 2 0
2θ 54.39, I = 30, hkl 0 0 2
2θ 71.15, I = 26, hkl 4 1 2
2θ 82.34, I = 20, hkl 7 1 1



Entry 9:
Computed powder diffraction line list of BeSiNi for λ = 1.5418 Å (Cu Kα), from a PBE-relaxed structure.
Neutral-atom scattering factors, no anomalous dispersion.

Structural model:
a = 4.1306 Å, b = 7.1493 Å, c = 4.2683 Å
α = 90.00°, β = 90.00°, γ = 90.00°
Space group Cmcm (No. 63)
Asymmetric unit:
Be (0.0000, 0.0810, 0.2500) x4
Si (0.0000, 0.4072, 0.2500) x4
Ni (0.0000, 0.2486, 0.7500) x4

The 10 most intense peaks (2θ from 10° to 90°), low angle first:
2θ 24.91, I = 54, hkl 0 2 0
2θ 32.67, I = 81, hkl 1 1 1
2θ 42.35, I = 40, hkl 0 0 2
2θ 43.84, I = 36, hkl 2 0 0
2θ 49.02, I = 100, hkl 1 3 1
2θ 49.76, I = 16, hkl 0 2 2
2θ 51.08, I = 16, hkl 2 2 0
2θ 62.59, I = 23, hkl 2 0 2
2θ 82.31, I = 21, hkl 1 3 3
2θ 84.35, I = 20, hkl 3 3 1



Entry 10:
Computed powder diffraction line list of Tm3BeSi6Ni2 for λ = 1.5418 Å (Cu Kα), from a PBE-relaxed structure.
Neutral-atom scattering factors, no anomalous dispersion.

Structural model:
a = 5.2020 Å, b = 5.2020 Å, c = 8.8352 Å
α = 90.00°, β = 90.00°, γ = 120.00°
Space group P-3m1 (No. 164)
Asymmetric unit:
Tm (0.0000, 0.0000, 0.0000) x1
Tm (0.3333, 0.6667, 0.5775) x2
Be (0.0000, 0.0000, 0.5000) x1
Si (0.1647, 0.3294, 0.2827) x6
Ni (0.3333, 0.6667, 0.0860) x2

The 10 most intense peaks (2θ from 10° to 90°), low angle first:
2θ 22.15, I = 100, hkl 1 0 1
2θ 28.29, I = 94, hkl 0 1 2
2θ 34.48, I = 92, hkl 1 1 0
2θ 36.45, I = 40, hkl 1 0 3
2θ 40.24, I = 80, hkl 1 1 2
2θ 41.37, I = 40, hkl 0 2 1
2θ 45.18, I = 44, hkl 2 0 2
2θ 45.75, I = 60, hkl 0 1 4
2θ 58.05, I = 24, hkl 1 2 2
2θ 69.73, I = 33, hkl 1 2 4



Entry 11:
Computed powder diffraction line list of Y2BeSi4Ni3 for λ = 1.5418 Å (Cu Kα), from a PBE-relaxed structure.
Neutral-atom scattering factors, no anomalous dispersion.

Structural model:
a = 3.9365 Å, b = 3.9365 Å, c = 9.5721 Å
α = 90.00°, β = 90.00°, γ = 90.00°
Space group P-4m2 (No. 115)
Asymmetric unit:
Y (0.0000, 0.5000, 0.2487) x2
Be (0.5000, 0.5000, 0.0000) x1
Si (0.0000, 0.0000, 0.5000) x1
Si (0.0000, 0.5000, 0.8684) x2
Si (0.5000, 0.5000, 0.5000) x1
Ni (0.0000, 0.0000, 0.0000) x1
Ni (0.0000, 0.5000, 0.6253) x2

The 10 most intense peaks (2θ from 10° to 90°), low angle first:
2θ 29.38, I = 17, hkl 1 0 2
2θ 32.16, I = 41, hkl 1 1 0
2θ 36.24, I = 100, hkl 1 0 3
2θ 37.37, I = 92, hkl 1 1 2
2θ 46.12, I = 62, hkl 2 0 0
2θ 53.20, I = 35, hkl 1 0 5
2θ 60.02, I = 43, hkl 2 1 3
2θ 67.27, I = 19, hkl 2 2 0
2θ 73.01, I = 26, hkl 2 1 5
2θ 79.57, I = 19, hkl 3 1 2



Entry 12:
Computed powder diffraction line list of Ta2Be6Ni21 for λ = 1.5418 Å (Cu Kα), from a PBE-relaxed structure.
Neutral-atom scattering factors, no anomalous dispersion.

Structural model:
a = 10.7141 Å, b = 10.7141 Å, c = 10.7141 Å
α = 90.00°, β = 90.00°, γ = 90.00°
Space group Fm-3m (No. 225)
Asymmetric unit:
Ta (0.2500, 0.2500, 0.2500) x8
Be (0.0000, 0.0000, 0.2291) x24
Ni (0.0000, 0.0000, 0.5000) x4
Ni (0.0000, 0.1714, 0.3286) x48
Ni (0.1191, 0.1191, 0.1191) x32

The 10 most intense peaks (2θ from 10° to 90°), low angle first:
2θ 16.55, I = 35, hkl 2 0 0
2θ 37.54, I = 72, hkl 4 2 0
2θ 41.28, I = 76, hkl 4 2 2
2θ 43.91, I = 100, hkl 3 3 3
2θ 48.04, I = 43, hkl 4 4 0
2θ 50.39, I = 27, hkl 5 3 1
2θ 57.02, I = 23, hkl 6 2 2
2θ 72.79, I = 21, hkl 6 4 4
2θ 75.26, I = 40, hkl 6 6 0
2θ 89.66, I = 27, hkl 8 4 4